Computed PXRD pattern of BaPtRh for Cu Kα (weighted mean of Kα1 and Kα2), from a cell relaxed with GGA-PBE.

Largest 8 diffraction maxima, by intensity, 15° ≤ 2θ ≤ 90°:
2.801 Å, I = 100.0, hkl 2 1 1; 3.069 Å, I = 75.8, hkl 2 0 1; 1.834 Å, I = 63.8, hkl 3 2 1; 4.852 Å, I = 26.3, hkl 1 1 0; 1.664 Å, I = 20.2, hkl 4 0 1; 2.287 Å, I = 20.2, hkl 2 2 1; 1.274 Å, I = 18.6, hkl 5 2 0; 1.715 Å, I = 17.0, hkl 4 0 0

Atomic structure:
Lattice parameters (Å, degrees): 6.862 6.862 6.862 90.00 90.00 90.00
Fractional positions:
Ba 0.121 0.121 0.121
Ba 0.379 0.879 0.621
Ba 0.621 0.379 0.879
Ba 0.879 0.621 0.379
Pt 0.090 0.590 0.910
Pt 0.410 0.410 0.410
Pt 0.590 0.910 0.090
Pt 0.910 0.090 0.590
Rh 0.159 0.341 0.659
Rh 0.341 0.659 0.159
Rh 0.659 0.159 0.341
Rh 0.841 0.841 0.841